No. 1
Starting from a DFT-relaxed cell (GGA-PBE, OQMD), the PXRD pattern of Y2Sn6Pd was calculated for Cu Kα (weighted mean of Kα1 and Kα2).

Structure:
Unit cell a=11.7239 b=11.7239 c=4.4729 alpha=90.00 beta=90.00 gamma=158.35
Fractional positions:
Y  0.1792  0.8208  0.0000
Y  0.8208  0.1792  0.0000
Sn  0.0747  0.9253  0.5000
Sn  0.2943  0.7057  0.5000
Sn  0.4267  0.5733  0.0000
Sn  0.5733  0.4267  0.0000
Sn  0.7057  0.2943  0.5000
Sn  0.9253  0.0747  0.5000
Pd  0.5000  0.5000  0.5000

Top 8 peaks for 2θ = 10–80°, in order of rising 2θ:
two_theta, I_rel
30.78, 22.4
31.07, 18.3
34.59, 100.0
39.69, 13.2
40.33, 25.1
40.99, 24.0
58.85, 16.8
69.64, 13.5


No. 2
Starting from a DFT-relaxed cell (GGA-PBE, OQMD), the PXRD pattern of Sr2Pd was calculated for Cu Kα (weighted mean of Kα1 and Kα2).

Structure:
Unit cell a=5.2539 b=5.2539 c=5.2539 alpha=60.00 beta=60.00 gamma=60.00
Fractional positions:
Sr  0.2500  0.2500  0.2500
Sr  0.7500  0.7500  0.7500
Pd  0.0000  0.0000  0.0000

Top 8 peaks for 2θ = 10–80°, in order of rising 2θ:
two_theta, I_rel
20.71, 34.8
23.95, 7.0
34.13, 100.0
40.26, 18.2
49.04, 17.6
53.78, 7.7
61.10, 36.2
71.88, 11.1


Copy entry 2 word for word.
Starting from a DFT-relaxed cell (GGA-PBE, OQMD), the PXRD pattern of Sr2Pd was calculated for Cu Kα (weighted mean of Kα1 and Kα2).

Structure:
Unit cell a=5.2539 b=5.2539 c=5.2539 alpha=60.00 beta=60.00 gamma=60.00
Fractional positions:
Sr  0.2500  0.2500  0.2500
Sr  0.7500  0.7500  0.7500
Pd  0.0000  0.0000  0.0000

Top 8 peaks for 2θ = 10–80°, in order of rising 2θ:
two_theta, I_rel
20.71, 34.8
23.95, 7.0
34.13, 100.0
40.26, 18.2
49.04, 17.6
53.78, 7.7
61.10, 36.2
71.88, 11.1